1.
Diffraction record for Cr3NiRh3. The powder X-ray diffraction pattern is theoretical, not measured: it uses the GGA-PBE geometry in Alexandria and Cu Ka.

```
14
Lattice="4.044 -4.182 0.000 4.044 4.182 0.000 0.000 0.000 5.616" Properties=species:S:1:pos:R:3 pbc="T T T"
Cr 0.000 0.000 1.184
Cr 0.000 0.000 4.433
Cr 2.022 2.091 1.295
Cr 2.022 2.091 4.321
Cr 2.022 -2.091 1.295
Cr 2.022 -2.091 4.321
Ni 4.044 1.934 0.000
Ni 4.044 -1.934 0.000
Rh 4.044 2.048 2.808
Rh 2.170 0.000 2.808
Rh 2.427 0.000 0.000
Rh 5.661 0.000 0.000
Rh 5.917 0.000 2.808
Rh 4.044 -2.048 2.808
```

Most intense lines, 2θ from 10° to 80°, sorted by position:
30.76 deg, intensity 18
31.87 deg, intensity 11
34.75 deg, intensity 5
34.97 deg, intensity 9
35.50 deg, intensity 7
43.27 deg, intensity 26
44.87 deg, intensity 100
46.88 deg, intensity 6
54.73 deg, intensity 5
64.06 deg, intensity 11
66.60 deg, intensity 6
67.80 deg, intensity 4

=====

2.
Diffraction record for CrNi3Rh3. The powder X-ray diffraction pattern is theoretical, not measured: it uses the GGA-PBE geometry in Alexandria and Cu Ka.

```
28
Lattice="7.195 0.000 0.000 0.000 7.195 0.000 0.000 0.000 7.195" Properties=species:S:1:pos:R:3 pbc="T T T"
Cr 0.722 2.876 4.320
Cr 2.876 4.320 0.722
Cr 4.320 0.722 2.876
Cr 6.473 6.473 6.473
Ni 0.618 4.215 6.578
Ni 0.745 6.451 2.853
Ni 1.560 1.560 1.560
Ni 2.038 5.635 5.158
Ni 2.853 0.745 6.451
Ni 2.980 2.980 2.980
Ni 4.215 6.578 0.618
Ni 4.342 4.342 4.342
Ni 5.158 2.038 5.635
Ni 5.635 5.158 2.038
Ni 6.451 2.853 0.745
Ni 6.578 0.618 4.215
Rh 0.484 1.483 6.365
Rh 0.831 4.081 2.115
Rh 1.483 6.365 0.484
Rh 2.115 0.831 4.081
Rh 2.767 3.114 5.712
Rh 3.114 5.712 2.767
Rh 4.081 2.115 0.831
Rh 4.428 6.712 5.081
Rh 5.081 4.428 6.712
Rh 5.712 2.767 3.114
Rh 6.365 0.484 1.483
Rh 6.712 5.081 4.428
```

Most intense lines, 2θ from 10° to 80°, sorted by position:
30.43 deg, intensity 46
37.50 deg, intensity 21
39.61 deg, intensity 85
41.63 deg, intensity 78
43.57 deg, intensity 23
45.45 deg, intensity 100
47.27 deg, intensity 99
52.43 deg, intensity 27
58.81 deg, intensity 17
71.87 deg, intensity 15
75.97 deg, intensity 18
77.33 deg, intensity 17

=====

3.
Diffraction record for Cr2Ni5Rh12. The powder X-ray diffraction pattern is theoretical, not measured: it uses the GGA-PBE geometry in Alexandria and Cu Ka.

```
19
Lattice="6.709 -2.719 0.000 6.709 2.719 0.000 -1.916 0.000 7.183" Properties=species:S:1:pos:R:3 pbc="T T T"
Cr 6.709 1.683 0.000
Cr 6.709 -1.683 0.000
Ni 1.869 0.000 1.528
Ni 2.303 0.000 5.602
Ni 5.751 0.000 3.592
Ni 9.199 0.000 1.581
Ni 9.634 0.000 5.656
Rh -1.233 0.000 4.909
Rh 3.680 1.364 3.375
Rh 4.404 1.266 0.736
Rh 7.822 1.364 3.808
Rh 7.098 1.266 6.447
Rh 4.683 0.000 5.600
Rh 6.819 0.000 1.583
Rh 4.404 -1.266 0.736
Rh 3.680 -1.364 3.375
Rh 7.098 -1.266 6.447
Rh 7.822 -1.364 3.808
Rh 12.735 0.000 2.274
```

Most intense lines, 2θ from 10° to 80°, sorted by position:
35.82 deg, intensity 30
37.55 deg, intensity 31
39.22 deg, intensity 56
40.08 deg, intensity 19
40.67 deg, intensity 37
41.65 deg, intensity 100
41.81 deg, intensity 68
43.17 deg, intensity 19
43.43 deg, intensity 62
43.53 deg, intensity 53
53.30 deg, intensity 20
69.09 deg, intensity 22

=====

4.
Diffraction record for CrNiRu. The powder X-ray diffraction pattern is theoretical, not measured: it uses the GGA-PBE geometry in Alexandria and Cu Ka.

```
6
Lattice="2.247 -3.867 0.000 2.247 3.867 0.000 -1.581 0.000 4.254" Properties=species:S:1:pos:R:3 pbc="T T T"
Cr 0.000 0.000 0.000
Cr 2.247 -1.300 0.000
Ni 1.457 2.624 2.127
Ni 1.457 -2.568 2.127
Ru 2.247 1.340 0.000
Ru 1.457 -0.002 2.127
```

Most intense lines, 2θ from 10° to 80°, sorted by position:
24.06 deg, intensity 12
26.66 deg, intensity 4
31.26 deg, intensity 9
42.51 deg, intensity 51
42.72 deg, intensity 100
42.94 deg, intensity 49
47.21 deg, intensity 3
49.14 deg, intensity 33
50.04 deg, intensity 62
72.45 deg, intensity 19
73.07 deg, intensity 18
73.48 deg, intensity 18

=====

5.
Diffraction record for CrNiRu. The powder X-ray diffraction pattern is theoretical, not measured: it uses the GGA-PBE geometry in Alexandria and Cu Ka.

```
6
Lattice="4.451 0.000 0.000 -2.222 3.948 0.000 0.000 -2.565 4.169" Properties=species:S:1:pos:R:3 pbc="T T T"
Cr -0.347 0.676 0.967
Cr 2.576 0.707 3.203
Ni 1.894 -0.635 1.056
Ni 0.336 2.018 3.113
Ru 0.307 -0.548 3.098
Ru 1.922 1.931 1.071
```

Most intense lines, 2θ from 10° to 80°, sorted by position:
23.74 deg, intensity 10
27.15 deg, intensity 17
39.79 deg, intensity 36
40.53 deg, intensity 32
43.41 deg, intensity 70
45.29 deg, intensity 100
45.85 deg, intensity 95
46.24 deg, intensity 73
59.87 deg, intensity 10
60.83 deg, intensity 18
71.73 deg, intensity 14
73.23 deg, intensity 26

=====

6.
Diffraction record for Cr2NiRu. The powder X-ray diffraction pattern is theoretical, not measured: it uses the GGA-PBE geometry in Alexandria and Cu Ka.

```
4
Lattice="2.577 0.000 0.000 0.000 2.577 0.000 0.000 0.000 7.318" Properties=species:S:1:pos:R:3 pbc="T T T"
Cr 0.000 0.000 1.786
Cr 0.000 0.000 5.532
Ni 1.289 1.289 0.000
Ru 1.289 1.289 3.659
```

Most intense lines, 2θ from 10° to 80°, sorted by position:
12.09 deg, intensity 9
24.33 deg, intensity 5
34.81 deg, intensity 4
36.98 deg, intensity 4
42.92 deg, intensity 100
49.84 deg, intensity 16
50.05 deg, intensity 31
51.65 deg, intensity 2
56.40 deg, intensity 3
62.23 deg, intensity 2
73.32 deg, intensity 18
73.48 deg, intensity 9